This entry pairs a crystal structure of ReTe2SeS2 with its computed powder X-ray diffraction pattern. Radiation: Cu Kα X-rays. Structure: the GGA-PBE geometry in OQMD.

Largest 10 diffraction maxima, in order of rising 2θ, 15° ≤ 2θ ≤ 90°:
d (Å)	I/Imax	index
4.475	60	-1 1 1
3.557	49	1 1 -2
3.089	48	2 -1 0
2.810	47	1 2 -1
2.700	63	0 1 2
2.670	100	2 -2 0
2.621	52	1 1 -3
2.391	57	2 1 0
2.318	69	0 0 3
2.138	38	3 0 -1

Structural model:
```
ReTe2SeS2
1.0
6.6657 0.0000 0.0000
-1.5447 6.9672 0.0000
-2.8589 -2.6245 6.9611
Re Te Se S
2 4 2 4
direct
0.2286 0.4983 0.0218 Re
0.7714 0.5017 0.9782 Re
0.2605 0.4869 0.3769 Te
0.4260 0.1355 0.7358 Te
0.5740 0.8645 0.2642 Te
0.7395 0.5131 0.6231 Te
0.0678 0.2624 0.6652 Se
0.9322 0.7376 0.3348 Se
0.0569 0.7476 0.9576 S
0.4960 0.3210 0.0788 S
0.5040 0.6790 0.9212 S
0.9431 0.2524 0.0424 S
```